1.
GaHg: calculated powder XRD pattern (Cu Kα X-rays), based on the PBE geometry in OQMD.
Peak positions follow from Bragg's law for the DFT cell and can differ from measured ones.

Cell and atoms:
```
data_GaHg
_chemical_formula_sum 'Ga4 Hg4'
_cell_length_a 5.6739
_cell_length_b 5.7989
_cell_length_c 5.8920
_cell_angle_alpha 102.31
_cell_angle_beta 98.05
_cell_angle_gamma 99.65
_space_group_name_H-M_alt 'P -1'
_space_group_IT_number 2
loop_
_space_group_symop_operation_xyz
'x,y,z'
'-x,-y,-z'
loop_
_atom_site_label
_atom_site_type_symbol
_atom_site_fract_x
_atom_site_fract_y
_atom_site_fract_z
_atom_site_occupancy
Ga1 Ga 0.2083 0.2981 0.1274 1
Ga2 Ga 0.2479 0.8416 0.5676 1
Hg1 Hg 0.2629 0.3556 0.6341 1
Hg2 Hg 0.2974 0.8087 0.0778 1
```

Main lines, in order of rising 2θ (2θ from 15° to 90°):
h k l	2theta	d/Å	intensity
0 1 1	25.06	3.554	38
1 -1 1	25.14	3.543	40
1 1 -1	25.67	3.471	52
0 2 0	32.28	2.773	34
2 0 0	32.56	2.750	100
1 0 -2	32.84	2.727	80
1 -2 0	33.07	2.708	61
1 0 2	38.34	2.348	68
-1 1 2	38.66	2.329	25
1 2 0	39.26	2.295	52
0 2 -2	39.61	2.276	57
2 -2 0	41.24	2.189	24

2.
TlAg3Te4Os: calculated powder XRD pattern (Cu Kα X-rays), based on the PBE geometry in OQMD.
Peak positions follow from Bragg's law for the DFT cell and can differ from measured ones.

Cell and atoms:
```
data_TlAg3Te4Os
_chemical_formula_sum 'Tl1 Ag3 Te4 Os1'
_cell_length_a 6.6855
_cell_length_b 6.6855
_cell_length_c 6.6855
_cell_angle_alpha 90.00
_cell_angle_beta 90.00
_cell_angle_gamma 90.00
_space_group_name_H-M_alt 'P -4 3 m'
_space_group_IT_number 215
_space_group_name_Hall 'P -4 2 3'
loop_
_atom_site_label
_atom_site_type_symbol
_atom_site_fract_x
_atom_site_fract_y
_atom_site_fract_z
_atom_site_occupancy
Tl1 Tl 0.0000 0.0000 0.0000 1
Ag1 Ag 0.0000 0.5000 0.5000 1
Te1 Te 0.2766 0.2766 0.2766 1
Os1 Os 0.5000 0.5000 0.5000 1
```

Main lines, in order of rising 2θ (2θ from 15° to 90°):
h k l	2theta	d/Å	intensity
1 1 0	18.77	4.727	35
1 1 1	23.04	3.860	63
2 1 1	32.81	2.729	20
2 2 0	38.07	2.364	100
3 1 1	44.97	2.016	28
3 2 1	51.12	1.787	15
4 0 0	54.94	1.671	16
4 1 1	58.58	1.576	11
3 3 1	60.35	1.534	9
4 2 2	68.79	1.365	29
4 3 1	72.03	1.311	9
4 4 0	81.43	1.182	8

3.
Dy2Y5Er: calculated powder XRD pattern (Cu Kα X-rays), based on the PBE geometry in OQMD.
Peak positions follow from Bragg's law for the DFT cell and can differ from measured ones.

Cell and atoms:
```
data_Dy2Y5Er
_chemical_formula_sum 'Dy4 Y10 Er2'
_cell_length_a 5.6549
_cell_length_b 7.2510
_cell_length_c 12.5605
_cell_angle_alpha 90.00
_cell_angle_beta 90.00
_cell_angle_gamma 90.00
_space_group_name_H-M_alt 'A m m 2'
_space_group_IT_number 38
loop_
_space_group_symop_operation_xyz
'x,y,z'
'-x,-y,z'
'-x,y,z'
'x,-y,z'
'x,y+1/2,z+1/2'
'-x,-y+1/2,z+1/2'
'-x,y+1/2,z+1/2'
'x,-y+1/2,z+1/2'
loop_
_atom_site_label
_atom_site_type_symbol
_atom_site_fract_x
_atom_site_fract_y
_atom_site_fract_z
_atom_site_occupancy
Dy1 Dy 0.0000 0.0000 0.0000 1
Dy2 Dy 0.5000 0.0000 0.3335 1
Y1 Y 0.0000 0.0000 0.5003 1
Y2 Y 0.0000 0.2495 0.7501 1
Y3 Y 0.5000 0.2504 0.0836 1
Er1 Er 0.5000 0.0000 0.8333 1
```

Main lines, in order of rising 2θ (2θ from 15° to 90°):
h k l	2theta	d/Å	intensity
1 0 2	21.14	4.202	6
0 2 2	28.43	3.140	24
2 0 0	31.64	2.827	24
1 2 2	32.62	2.745	100
2 2 2	43.05	2.101	16
0 4 0	50.33	1.813	19
3 2 2	56.98	1.616	20
2 4 0	60.68	1.526	22
1 4 4	61.28	1.513	16
3 4 4	79.44	1.206	8
1 6 2	83.17	1.161	13
4 4 0	87.50	1.115	8

4.
RbTlOs: calculated powder XRD pattern (Cu Kα X-rays), based on the PBE geometry in OQMD.
Peak positions follow from Bragg's law for the DFT cell and can differ from measured ones.

Cell and atoms:
```
data_RbTlOs
_chemical_formula_sum 'Rb4 Tl4 Os4'
_cell_length_a 7.0964
_cell_length_b 7.0964
_cell_length_c 7.0964
_cell_angle_alpha 90.00
_cell_angle_beta 90.00
_cell_angle_gamma 90.00
_space_group_name_H-M_alt 'F -4 3 m'
_space_group_IT_number 216
_space_group_name_Hall 'F -4 2 3'
loop_
_atom_site_label
_atom_site_type_symbol
_atom_site_fract_x
_atom_site_fract_y
_atom_site_fract_z
_atom_site_occupancy
Rb1 Rb 0.0000 0.0000 0.0000 1
Tl1 Tl 0.0000 0.0000 0.5000 1
Os1 Os 0.2500 0.2500 0.2500 1
```

Main lines, in order of rising 2θ (2θ from 15° to 90°):
h k l	2theta	d/Å	intensity
1 1 1	21.69	4.097	50
2 0 0	25.10	3.548	6
2 2 0	35.79	2.509	100
3 1 1	42.24	2.140	27
4 0 0	51.51	1.774	18
3 3 1	56.53	1.628	12
4 2 0	58.13	1.587	2
4 2 2	64.31	1.449	37
5 1 1	68.73	1.366	9
4 4 0	75.84	1.254	12
5 3 1	79.99	1.200	9
6 2 0	86.80	1.122	17

5.
LaGa2NiPd: calculated powder XRD pattern (Cu Kα X-rays), based on the PBE geometry in OQMD.
Peak positions follow from Bragg's law for the DFT cell and can differ from measured ones.

Cell and atoms:
```
data_LaGa2NiPd
_chemical_formula_sum 'La2 Ga4 Ni2 Pd2'
_cell_length_a 4.3781
_cell_length_b 4.3781
_cell_length_c 9.8317
_cell_angle_alpha 90.00
_cell_angle_beta 90.00
_cell_angle_gamma 90.00
_space_group_name_H-M_alt 'P 4/n m m'
_space_group_IT_number 129
loop_
_space_group_symop_operation_xyz
'x,y,z'
'-x,-y,-z'
'-y+1/2,x,z'
'y+1/2,-x,-z'
'-x+1/2,-y+1/2,z'
'x+1/2,y+1/2,-z'
'y,-x+1/2,z'
'-y,x+1/2,-z'
'x+1/2,-y,-z'
'-x+1/2,y,z'
'-y,-x,-z'
'y,x,z'
'-x,y+1/2,-z'
'x,-y+1/2,z'
'y+1/2,x+1/2,-z'
'-y+1/2,-x+1/2,z'
loop_
_atom_site_label
_atom_site_type_symbol
_atom_site_fract_x
_atom_site_fract_y
_atom_site_fract_z
_atom_site_occupancy
La1 La 0.2500 0.2500 0.2384 1
Ga1 Ga 0.2500 0.2500 0.8949 1
Ga2 Ga 0.2500 0.7500 0.5000 1
Ni1 Ni 0.2500 0.7500 0.0000 1
Pd1 Pd 0.2500 0.2500 0.6381 1
```

Main lines, in order of rising 2θ (2θ from 15° to 90°):
h k l	2theta	d/Å	intensity
1 1 0	28.84	3.096	18
1 1 2	34.20	2.621	100
2 0 0	41.24	2.189	44
1 0 4	42.16	2.143	5
1 1 4	47.22	1.925	9
1 0 5	50.91	1.794	13
2 1 3	54.60	1.681	24
2 2 0	59.74	1.548	14
1 1 6	64.32	1.448	7
2 1 5	67.51	1.387	11
3 1 2	70.68	1.333	18
3 2 3	85.23	1.139	7

6.
Lu8C3S2N3: calculated powder XRD pattern (Cu Kα X-rays), based on the PBE geometry in OQMD.
Peak positions follow from Bragg's law for the DFT cell and can differ from measured ones.

Cell and atoms:
```
data_Lu8C3S2N3
_chemical_formula_sum 'Lu8 C3 S2 N3'
_cell_length_a 3.4771
_cell_length_b 3.4771
_cell_length_c 23.6929
_cell_angle_alpha 90.00
_cell_angle_beta 90.00
_cell_angle_gamma 120.00
_space_group_name_H-M_alt 'P -3 m 1'
_space_group_IT_number 164
_space_group_name_Hall '-P 3 2"'
loop_
_atom_site_label
_atom_site_type_symbol
_atom_site_fract_x
_atom_site_fract_y
_atom_site_fract_z
_atom_site_occupancy
Lu1 Lu 0.0000 0.0000 0.1672 1
Lu2 Lu 0.0000 0.0000 0.3250 1
Lu3 Lu 0.3333 0.6667 0.5615 1
Lu4 Lu 0.3333 0.6667 0.9445 1
C1 C 0.0000 0.0000 0.5000 1
C2 C 0.3333 0.6667 0.3759 1
S1 S 0.3333 0.6667 0.7581 1
N1 N 0.0000 0.0000 0.0000 1
N2 N 0.3333 0.6667 0.1158 1
```

Main lines, in order of rising 2θ (2θ from 15° to 90°):
h k l	2theta	d/Å	intensity
0 0 8	30.18	2.962	33
1 0 2	30.63	2.918	65
0 1 3	31.80	2.814	35
1 0 4	33.38	2.684	14
0 1 5	35.32	2.541	59
1 0 6	37.56	2.394	100
1 0 11	52.21	1.752	13
1 1 0	52.65	1.739	49
0 1 12	55.67	1.651	20
1 1 8	61.89	1.499	28
0 2 6	66.46	1.407	19
2 1 6	89.65	1.094	18

7.
Er5Lu2Te2Ir2: calculated powder XRD pattern (Cu Kα X-rays), based on the PBE geometry in OQMD.
Peak positions follow from Bragg's law for the DFT cell and can differ from measured ones.

Cell and atoms:
```
data_Er5Lu2Te2Ir2
_chemical_formula_sum 'Er10 Lu4 Te4 Ir4'
_cell_length_a 3.9014
_cell_length_b 15.5561
_cell_length_c 9.3876
_cell_angle_alpha 90.00
_cell_angle_beta 90.00
_cell_angle_gamma 90.00
_space_group_name_H-M_alt 'I m m 2'
_space_group_IT_number 44
loop_
_space_group_symop_operation_xyz
'x,y,z'
'-x,-y,z'
'-x,y,z'
'x,-y,z'
'x+1/2,y+1/2,z+1/2'
'-x+1/2,-y+1/2,z+1/2'
'-x+1/2,y+1/2,z+1/2'
'x+1/2,-y+1/2,z+1/2'
loop_
_atom_site_label
_atom_site_type_symbol
_atom_site_fract_x
_atom_site_fract_y
_atom_site_fract_z
_atom_site_occupancy
Er1 Er 0.0000 0.0000 0.0000 1
Er2 Er 0.0000 0.1317 0.5811 1
Er3 Er 0.0000 0.3150 0.3708 1
Lu1 Lu 0.0000 0.3532 0.7295 1
Te1 Te 0.0000 0.0000 0.3353 1
Te2 Te 0.0000 0.5000 0.2350 1
Ir1 Ir 0.0000 0.2372 0.0719 1
```

Main lines, in order of rising 2θ (2θ from 15° to 90°):
h k l	2theta	d/Å	intensity
1 3 0	28.63	3.118	12
1 1 2	30.31	2.948	56
0 3 3	33.45	2.679	44
1 4 1	33.92	2.643	100
1 3 2	34.55	2.596	47
1 0 3	36.82	2.441	22
1 2 3	38.66	2.329	26
0 6 2	39.72	2.269	10
2 0 0	46.56	1.951	26
1 7 2	51.15	1.786	10
2 3 3	58.53	1.577	18
3 4 1	78.16	1.223	9

8.
Sc2Nb3Si4: calculated powder XRD pattern (Cu Kα X-rays), based on the PBE geometry in OQMD.
Peak positions follow from Bragg's law for the DFT cell and can differ from measured ones.

Cell and atoms:
```
data_Sc2Nb3Si4
_chemical_formula_sum 'Sc8 Nb12 Si16'
_cell_length_a 6.7105
_cell_length_b 13.1274
_cell_length_c 6.9043
_cell_angle_alpha 90.00
_cell_angle_beta 90.00
_cell_angle_gamma 90.00
_space_group_name_H-M_alt 'P n m a'
_space_group_IT_number 62
loop_
_space_group_symop_operation_xyz
'x,y,z'
'-x,-y,-z'
'-x+1/2,-y,z+1/2'
'x+1/2,y,-z+1/2'
'x+1/2,-y+1/2,-z+1/2'
'-x+1/2,y+1/2,z+1/2'
'-x,y+1/2,-z'
'x,-y+1/2,z'
loop_
_atom_site_label
_atom_site_type_symbol
_atom_site_fract_x
_atom_site_fract_y
_atom_site_fract_z
_atom_site_occupancy
Sc1 Sc 0.0009 0.0957 0.1738 1
Nb1 Nb 0.1620 0.1250 0.6762 1
Nb2 Nb 0.1638 0.7500 0.4952 1
Si1 Si 0.0414 0.7500 0.1126 1
Si2 Si 0.1686 0.5392 0.4680 1
Si3 Si 0.2033 0.2500 0.3630 1
```

Main lines, in order of rising 2θ (2θ from 15° to 90°):
h k l	2theta	d/Å	intensity
2 3 0	33.66	2.663	52
1 3 2	35.73	2.513	84
2 3 1	36.16	2.484	82
0 4 2	37.82	2.379	98
2 1 2	38.02	2.367	75
1 5 1	39.08	2.305	56
1 4 2	40.23	2.242	59
2 4 1	40.61	2.221	68
1 1 3	42.07	2.148	100
3 0 1	42.48	2.128	85
2 5 0	43.78	2.068	52
3 4 3	64.68	1.441	68

9.
Na6CdBr8: calculated powder XRD pattern (Cu Kα X-rays), based on the PBE geometry in OQMD.
Peak positions follow from Bragg's law for the DFT cell and can differ from measured ones.

Cell and atoms:
```
data_Na6CdBr8
_chemical_formula_sum 'Na24 Cd4 Br32'
_cell_length_a 11.9937
_cell_length_b 11.9937
_cell_length_c 11.9937
_cell_angle_alpha 90.00
_cell_angle_beta 90.00
_cell_angle_gamma 90.00
_space_group_name_H-M_alt 'F m -3 m'
_space_group_IT_number 225
_space_group_name_Hall '-F 4 2 3'
loop_
_atom_site_label
_atom_site_type_symbol
_atom_site_fract_x
_atom_site_fract_y
_atom_site_fract_z
_atom_site_occupancy
Na1 Na 0.0000 0.2500 0.2500 1
Cd1 Cd 0.0000 0.0000 0.0000 1
Br1 Br 0.0000 0.0000 0.2353 1
Br2 Br 0.2500 0.2500 0.2500 1
```

Main lines, in order of rising 2θ (2θ from 15° to 90°):
h k l	2theta	d/Å	intensity
3 1 1	24.62	3.616	8
2 2 2	25.73	3.462	35
4 0 0	29.80	2.998	100
5 1 1	39.02	2.308	11
4 4 0	42.64	2.120	71
5 3 1	44.70	2.027	8
6 2 2	50.47	1.808	14
4 4 4	52.89	1.731	24
5 5 1	54.65	1.679	7
8 0 0	61.89	1.499	11
8 4 0	70.19	1.341	29
8 4 4	78.07	1.224	21

10.
RbMo3Pb5: calculated powder XRD pattern (Cu Kα X-rays), based on the PBE geometry in OQMD.
Peak positions follow from Bragg's law for the DFT cell and can differ from measured ones.

Cell and atoms:
```
data_RbMo3Pb5
_chemical_formula_sum 'Rb1 Mo3 Pb5'
_cell_length_a 5.6436
_cell_length_b 5.6436
_cell_length_c 9.1722
_cell_angle_alpha 90.00
_cell_angle_beta 90.00
_cell_angle_gamma 120.00
_space_group_name_H-M_alt 'P 6/m m m'
_space_group_IT_number 191
_space_group_name_Hall '-P 6 2'
loop_
_atom_site_label
_atom_site_type_symbol
_atom_site_fract_x
_atom_site_fract_y
_atom_site_fract_z
_atom_site_occupancy
Rb1 Rb 0.0000 0.0000 0.0000 1
Mo1 Mo 0.0000 0.5000 0.5000 1
Pb1 Pb 0.0000 0.0000 0.5000 1
Pb2 Pb 0.3333 0.6667 0.2261 1
```

Main lines, in order of rising 2θ (2θ from 15° to 90°):
h k l	2theta	d/Å	intensity
1 0 2	26.65	3.344	100
0 0 3	29.21	3.057	23
1 1 0	31.71	2.822	97
1 1 2	37.42	2.403	43
2 0 1	38.11	2.361	26
0 0 4	39.29	2.293	28
2 0 2	41.89	2.157	85
1 1 4	51.34	1.780	38
2 1 2	53.48	1.714	31
3 0 0	56.48	1.629	20
2 2 0	66.24	1.411	23
2 2 4	79.81	1.202	23

11.
Dy2HoCd3Cu2Ag: calculated powder XRD pattern (Cu Kα X-rays), based on the PBE geometry in OQMD.
Peak positions follow from Bragg's law for the DFT cell and can differ from measured ones.

Cell and atoms:
```
data_Dy2HoCd3Cu2Ag
_chemical_formula_sum 'Dy4 Ho2 Cd6 Cu4 Ag2'
_cell_length_a 3.8541
_cell_length_b 13.2711
_cell_length_c 7.6609
_cell_angle_alpha 90.00
_cell_angle_beta 90.00
_cell_angle_gamma 90.00
_space_group_name_H-M_alt 'A m m 2'
_space_group_IT_number 38
loop_
_space_group_symop_operation_xyz
'x,y,z'
'-x,-y,z'
'-x,y,z'
'x,-y,z'
'x,y+1/2,z+1/2'
'-x,-y+1/2,z+1/2'
'-x,y+1/2,z+1/2'
'x,-y+1/2,z+1/2'
loop_
_atom_site_label
_atom_site_type_symbol
_atom_site_fract_x
_atom_site_fract_y
_atom_site_fract_z
_atom_site_occupancy
Dy1 Dy 0.0000 0.2050 0.0000 1
Ho1 Ho 0.0000 0.0000 0.3850 1
Cd1 Cd 0.5000 0.0000 0.0643 1
Cd2 Cd 0.5000 0.1343 0.6604 1
Cu1 Cu 0.5000 0.1663 0.2952 1
Ag1 Ag 0.0000 0.0000 0.7948 1
```

Main lines, in order of rising 2θ (2θ from 15° to 90°):
h k l	2theta	d/Å	intensity
1 3 1	32.97	2.717	90
1 4 0	35.73	2.513	100
0 1 3	35.81	2.508	13
0 6 0	40.80	2.212	31
1 4 2	43.03	2.102	12
2 0 0	47.16	1.927	19
0 7 1	49.53	1.840	15
1 5 3	55.33	1.660	19
2 1 3	60.60	1.528	16
2 6 0	64.09	1.453	16
1 1 5	65.98	1.416	26
1 10 0	75.84	1.254	16

12.
CoRe12: calculated powder XRD pattern (Cu Kα X-rays), based on the PBE geometry in OQMD.
Peak positions follow from Bragg's law for the DFT cell and can differ from measured ones.

Cell and atoms:
```
data_CoRe12
_chemical_formula_sum 'Co3 Re36'
_cell_length_a 5.0195
_cell_length_b 5.0195
_cell_length_c 26.5941
_cell_angle_alpha 90.00
_cell_angle_beta 90.00
_cell_angle_gamma 120.00
_space_group_name_H-M_alt 'R -3 m'
_space_group_IT_number 166
_space_group_name_Hall '-R 3 2"'
loop_
_atom_site_label
_atom_site_type_symbol
_atom_site_fract_x
_atom_site_fract_y
_atom_site_fract_z
_atom_site_occupancy
Co1 Co 0.0000 0.0000 0.0000 1
Re1 Re 0.0000 0.0000 0.1656 1
Re2 Re 0.0000 0.0000 0.3474 1
Re3 Re 0.0000 0.0000 0.4528 1
Re4 Re 0.0019 0.5010 0.4101 1
```

Main lines, in order of rising 2θ (2θ from 15° to 90°):
h k l	2theta	d/Å	intensity
1 1 0	35.78	2.510	45
1 0 10	39.73	2.269	72
0 0 12	40.71	2.216	26
1 1 6	41.34	2.184	100
0 2 1	41.69	2.166	72
0 1 11	42.80	2.113	53
0 2 4	43.82	2.066	38
2 0 5	45.06	2.012	55
2 1 10	66.94	1.398	31
0 3 6	68.08	1.377	23
1 2 11	69.12	1.359	26
2 2 0	75.81	1.255	42

13.
NbWS4: calculated powder XRD pattern (Cu Kα X-rays), based on the PBE geometry in OQMD.
Peak positions follow from Bragg's law for the DFT cell and can differ from measured ones.

Cell and atoms:
```
data_NbWS4
_chemical_formula_sum 'Nb2 W2 S8'
_cell_length_a 3.2732
_cell_length_b 21.0813
_cell_length_c 5.6802
_cell_angle_alpha 90.00
_cell_angle_beta 90.00
_cell_angle_gamma 90.00
_space_group_name_H-M_alt 'C m m 2'
_space_group_IT_number 35
loop_
_space_group_symop_operation_xyz
'x,y,z'
'-x,-y,z'
'-x,y,z'
'x,-y,z'
'x+1/2,y+1/2,z'
'-x+1/2,-y+1/2,z'
'-x+1/2,y+1/2,z'
'x+1/2,-y+1/2,z'
loop_
_atom_site_label
_atom_site_type_symbol
_atom_site_fract_x
_atom_site_fract_y
_atom_site_fract_z
_atom_site_occupancy
Nb1 Nb 0.0000 0.0000 0.0000 1
W1 W 0.0000 0.5000 0.4892 1
S1 S 0.0000 0.0728 0.6548 1
S2 S 0.0000 0.4252 0.1667 1
```

Main lines, in order of rising 2θ (2θ from 15° to 90°):
h k l	2theta	d/Å	intensity
0 4 0	16.82	5.270	100
1 1 1	31.84	2.811	88
0 2 2	32.65	2.742	42
1 3 1	34.09	2.630	98
0 4 2	35.92	2.500	48
1 5 1	38.25	2.353	100
0 6 2	40.86	2.209	48
1 7 1	43.85	2.065	79
0 8 2	47.04	1.932	30
1 9 1	50.54	1.806	41
2 0 0	56.28	1.635	56
1 3 3	57.76	1.596	24